Simulated XRD peak list of BaLaNbN3 for CuKα, from DFT lattice parameters and positions (PBE).

Atomic structure:
a = 14.151 Å, b = 4.133 Å, c = 7.842 Å
α = 90.00°, β = 105.60°, γ = 90.00°
Space group C2/m (No. 12)
Symmetry-distinct sites (fractional):
Ba: 0.148 0.000 0.075
La: 0.156 0.000 0.579
Nb: 0.002 0.500 0.297
N: 0.004 0.000 0.315
N: 0.146 0.500 0.804
N: 0.155 0.500 0.343

The 8 most intense peaks (10 to 90 degrees two-theta), by angle:
(3 1 0), 29.21 deg, I = 88
(2 0 2), 29.98 deg, I = 43
(4 0 -2), 30.23 deg, I = 43
(1 1 -2), 31.45 deg, I = 100
(6 0 0), 39.67 deg, I = 27
(0 2 0), 43.81 deg, I = 24
(7 1 -2), 51.66 deg, I = 21
(4 2 -2), 54.16 deg, I = 19